This entry pairs a crystal structure of Pr4BeBr6 with its calculated powder diffraction line list. Radiation: Cu Kα X-rays. Structure: a cell relaxed with PBE.

Top 10 peaks for 10 to 80 degrees two-theta, by intensity:
2θ (°)	intensity
21.87	100
31.92	51
35.76	47
36.76	43
35.30	33
43.19	31
30.02	22
60.75	18
38.09	17
70.60	16

Structural model:
```
Pr4BeBr6
1.0
9.7789 0.0000 0.0000
0.0000 9.7789 0.0000
0.0000 0.0000 7.3062
Pr Be Br
8 2 12
Direct
0.0149 0.7500 0.0812
0.2500 0.5149 0.4188
0.2500 0.9851 0.4188
0.4851 0.7500 0.0812
0.5149 0.2500 0.9188
0.7500 0.0149 0.5812
0.7500 0.4851 0.5812
0.9851 0.2500 0.9188
0.2500 0.7500 0.2500
0.7500 0.2500 0.7500
0.0413 0.5413 0.7500
0.0413 0.9587 0.7500
0.2500 0.2500 0.1691
0.2500 0.2500 0.6691
0.4587 0.5413 0.7500
0.4587 0.9587 0.7500
0.5413 0.0413 0.2500
0.5413 0.4587 0.2500
0.7500 0.7500 0.3309
0.7500 0.7500 0.8309
0.9587 0.0413 0.2500
0.9587 0.4587 0.2500
```


This entry pairs a crystal structure of Rb2BeBr4 with its calculated powder diffraction line list. Radiation: Cu Kα X-rays. Structure: a cell relaxed with PBE.

Top 10 peaks for 10 to 80 degrees two-theta, by intensity:
2θ (°)	intensity
26.96	100
30.88	81
27.67	77
31.25	69
25.68	63
35.81	58
28.07	43
28.54	32
58.41	28
50.05	25

Structural model:
```
Rb2BeBr4
1.0
7.2417 0.0000 0.0000
0.0000 7.2899 0.0000
-2.9877 0.0000 9.5364
Rb Be Br
4 2 8
Direct
0.1997 0.2500 0.4242
0.2896 0.2500 0.9639
0.7104 0.7500 0.0361
0.8003 0.7500 0.5758
0.3108 0.7500 0.2190
0.6892 0.2500 0.7810
0.0981 0.7500 0.3387
0.1730 0.7500 0.9896
0.4973 0.0087 0.7237
0.4973 0.4913 0.7237
0.5027 0.5087 0.2763
0.5027 0.9913 0.2763
0.8270 0.2500 0.0104
0.9019 0.2500 0.6613
```


This entry pairs a crystal structure of Be2SBr with its calculated powder diffraction line list. Radiation: Cu Kα X-rays. Structure: a cell relaxed with PBE.

Top 10 peaks for 10 to 80 degrees two-theta, by intensity:
2θ (°)	intensity
24.25	100
18.45	79
27.38	63
43.56	47
33.62	39
35.62	37
49.69	30
62.67	27
33.48	22
24.98	21

Structural model:
```
Be2SBr
1.0
-2.5202 2.5202 8.0306
2.5202 -2.5202 8.0306
2.5202 2.5202 -8.0306
Be S Br
4 2 2
Direct
0.1066 0.7946 0.0000
0.2054 0.2054 0.3120
0.7946 0.1066 0.0000
0.8934 0.8934 0.6880
0.0000 0.5000 0.5000
0.5000 0.0000 0.5000
0.1661 0.1661 0.0000
0.8339 0.8339 0.0000
```


This entry pairs a crystal structure of BeZnSBr with its calculated powder diffraction line list. Radiation: Cu Kα X-rays. Structure: a cell relaxed with PBE.

Top 10 peaks for 10 to 80 degrees two-theta, by intensity:
2θ (°)	intensity
31.58	100
27.38	58
30.48	43
29.65	42
36.66	36
41.37	31
29.83	21
56.55	18
52.25	18
48.33	17

Structural model:
```
BeZnSBr
1.0
3.1081 -2.1824 0.0000
3.1081 2.1824 0.0000
-1.6227 0.0000 5.8662
Be Zn S Br
1 1 1 1
Direct
0.0000 0.0000 0.0000
0.2321 0.2321 0.5106
0.9107 0.9107 0.6535
0.6583 0.6583 0.1047
```


This entry pairs a crystal structure of Sc4BeBr with its calculated powder diffraction line list. Radiation: Cu Kα X-rays. Structure: a cell relaxed with PBE.

Top 10 peaks for 10 to 80 degrees two-theta, by intensity:
2θ (°)	intensity
35.95	100
37.61	43
57.83	32
21.45	24
30.52	24
63.52	23
18.55	23
76.23	14
75.20	10
54.24	9

Structural model:
```
Sc4BeBr
1.0
0.0000 4.1425 4.1425
4.1425 0.0000 4.1425
4.1425 4.1425 0.0000
Sc Be Br
4 1 1
Direct
0.1227 0.1227 0.1227
0.1227 0.1227 0.6318
0.1227 0.6318 0.1227
0.6318 0.1227 0.1227
0.7500 0.7500 0.7500
0.5000 0.5000 0.5000
```


This entry pairs a crystal structure of Sm4BeBr6 with its calculated powder diffraction line list. Radiation: Cu Kα X-rays. Structure: a cell relaxed with PBE.

Top 10 peaks for 10 to 80 degrees two-theta, by intensity:
2θ (°)	intensity
22.29	100
32.59	54
37.43	41
36.49	39
35.96	34
44.00	31
30.58	21
62.03	18
38.94	17
57.74	16

Structural model:
```
Sm4BeBr6
1.0
9.6102 0.0000 0.0000
0.0000 9.6102 0.0000
0.0000 0.0000 7.1477
Sm Be Br
8 2 12
Direct
0.0157 0.7500 0.0843
0.2500 0.5157 0.4157
0.2500 0.9843 0.4157
0.4843 0.7500 0.0843
0.5157 0.2500 0.9157
0.7500 0.0157 0.5843
0.7500 0.4843 0.5843
0.9843 0.2500 0.9157
0.2500 0.7500 0.2500
0.7500 0.2500 0.7500
0.0428 0.5428 0.7500
0.0428 0.9572 0.7500
0.2500 0.2500 0.1595
0.2500 0.2500 0.6595
0.4572 0.5428 0.7500
0.4572 0.9572 0.7500
0.5428 0.0428 0.2500
0.5428 0.4572 0.2500
0.7500 0.7500 0.3405
0.7500 0.7500 0.8405
0.9572 0.0428 0.2500
0.9572 0.4572 0.2500
```


This entry pairs a crystal structure of BeTcBr4 with its calculated powder diffraction line list. Radiation: Cu Kα X-rays. Structure: a cell relaxed with PBE.

Top 10 peaks for 10 to 80 degrees two-theta, by intensity:
2θ (°)	intensity
33.65	100
35.20	55
17.39	34
53.94	34
59.18	29
70.76	21
28.59	14
20.11	13
69.83	11
40.87	11

Structural model:
```
BeTcBr4
1.0
0.0000 4.4161 4.4161
4.4161 0.0000 4.4161
4.4161 4.4161 0.0000
Be Tc Br
1 1 4
Direct
0.0000 0.0000 0.0000
0.2500 0.2500 0.2500
0.1249 0.6250 0.6250
0.6250 0.1249 0.6250
0.6250 0.6250 0.1249
0.6250 0.6250 0.6250
```


This entry pairs a crystal structure of Be5C3 with its calculated powder diffraction line list. Radiation: Cu Kα X-rays. Structure: a cell relaxed with PBE.

Top 10 peaks for 10 to 80 degrees two-theta, by intensity:
2θ (°)	intensity
28.58	100
33.74	76
24.06	50
37.05	47
49.34	31
62.47	26
51.82	25
59.47	22
15.94	22
59.58	20

Structural model:
```
Be5C3
1.0
2.2527 -4.9549 0.0000
2.2527 4.9549 0.0000
-0.6949 0.0000 5.5614
Be C
10 6
Direct
0.0000 0.0000 0.0000
0.0803 0.6924 0.8338
0.2438 0.9368 0.2827
0.2702 0.4930 0.7321
0.4930 0.2702 0.7321
0.5047 0.5047 0.0568
0.5935 0.8094 0.4783
0.6924 0.0803 0.8338
0.8094 0.5935 0.4783
0.9368 0.2438 0.2827
0.0894 0.3879 0.9926
0.1512 0.6200 0.5132
0.3879 0.0894 0.9926
0.6200 0.1512 0.5132
0.6868 0.6868 0.7576
0.8439 0.8439 0.2762
```


This entry pairs a crystal structure of Be2C3 with its calculated powder diffraction line list. Radiation: Cu Kα X-rays. Structure: a cell relaxed with PBE.

Top 10 peaks for 10 to 80 degrees two-theta, by intensity:
2θ (°)	intensity
29.95	100
42.10	59
61.64	31
70.97	26
78.89	16
50.07	8
45.60	7
39.16	4
76.03	2
62.22	2

Structural model:
```
Be2C3
1.0
2.6562 0.0000 0.0000
-1.3281 2.3003 0.0000
0.0000 0.0000 5.9679
Be C
2 3
Direct
0.3333 0.6667 0.3773
0.6667 0.3333 0.6227
0.0000 0.0000 0.5000
0.3333 0.6667 0.0092
0.6667 0.3333 0.9908
```


This entry pairs a crystal structure of BeC with its calculated powder diffraction line list. Radiation: Cu Kα X-rays. Structure: a cell relaxed with PBE.

Top 10 peaks for 10 to 80 degrees two-theta, by intensity:
2θ (°)	intensity
35.64	100
30.23	64
16.42	49
34.92	48
33.17	44
56.28	37
69.41	26
63.76	23
41.79	20
64.53	13

Structural model:
```
BeC
1.0
2.9702 -1.4596 0.0000
2.9702 1.4596 0.0000
-2.4434 0.0000 5.3972
Be C
3 3
Direct
0.0000 0.0000 0.0000
0.6245 0.6245 0.7674
0.7934 0.7934 0.4345
0.2994 0.2994 0.9586
0.3107 0.3107 0.2157
0.4962 0.4962 0.4515
```


This entry pairs a crystal structure of BeC with its calculated powder diffraction line list. Radiation: Cu Kα X-rays. Structure: a cell relaxed with PBE.

Top 10 peaks for 10 to 80 degrees two-theta, by intensity:
2θ (°)	intensity
35.61	100
21.30	45
62.51	33
63.34	19
37.80	18
70.43	10
74.06	7
50.89	5
66.84	4
79.14	3

Structural model:
```
BeC
1.0
1.4859 0.8579 4.1720
-1.4859 0.8579 4.1720
0.0000 -1.7158 4.1720
Be C
2 2
Direct
0.0000 0.0000 0.0000
0.1634 0.1634 0.1634
0.2981 0.2981 0.2981
0.4096 0.4096 0.4096
```


This entry pairs a crystal structure of BeC7 with its calculated powder diffraction line list. Radiation: Cu Kα X-rays. Structure: a cell relaxed with PBE.

Top 6 peaks for 10 to 80 degrees two-theta, by intensity:
2θ (°)	intensity
51.94	100
60.75	41
25.30	4
29.29	2
41.90	1
49.58	1

Structural model:
```
BeC7
1.0
0.0000 3.0492 3.0492
3.0492 0.0000 3.0492
3.0492 3.0492 0.0000
Be C
1 7
Direct
0.0000 0.0000 0.0000
0.0000 0.0000 0.5000
0.0000 0.5000 0.0000
0.0000 0.5000 0.5000
0.5000 0.0000 0.0000
0.5000 0.0000 0.5000
0.5000 0.5000 0.0000
0.5000 0.5000 0.5000
```